Starting from DFT lattice parameters and positions (GGA-PBE), the X-ray powder pattern of Pr2SnP2N6 was simulated for Cu Kα X-rays.
Neutral-atom scattering factors, no anomalous dispersion.

Main lines, most intense first (2θ = 10–80°):
- hkl 1 -1 0, 18.9 deg, I 1000
- hkl 1 1 -1, 25.5 deg, I 867
- hkl 1 0 -2, 30.6 deg, I 790
- hkl 1 0 1, 27.2 deg, I 777
- hkl 0 2 -1, 31.2 deg, I 494
- hkl 1 -2 1, 30.9 deg, I 437
- hkl 0 1 1, 29.1 deg, I 428
- hkl 1 -2 2, 37.1 deg, I 415
- hkl 2 0 -1, 32.6 deg, I 352
- hkl 2 -1 0, 31.7 deg, I 348

Structure:
```
Pr2SnP2N6
1.0
5.792 0.000 0.000
-1.772 5.739 0.000
-1.205 -3.106 5.595
Pr Sn P N
2 1 2 6
Direct
0.226 0.105 0.320
0.774 0.895 0.680
0.500 0.500 0.000
0.041 0.509 0.263
0.959 0.491 0.737
0.081 0.278 0.673
0.126 0.801 0.894
0.348 0.613 0.351
0.652 0.387 0.649
0.874 0.199 0.106
0.919 0.722 0.327
```